(1)
# Sm2Tc3Mo
Theoretical powder XRD pattern, a wavelength of 1.5418 Å. Input: a GGA-PBE-relaxed structure.
Kinematic intensities with the Lorentz-polarization factor, no thermal factor.

Atomic structure:
```
Sm2Tc3Mo
1.0
2.7808 1.6055 4.3622
-2.7808 1.6055 4.3622
0.0000 -3.2110 4.3622
Sm Tc Mo
2 3 1
direct
0.1248 0.1248 0.1248
0.8752 0.8752 0.8752
0.0000 0.5000 0.5000
0.5000 0.0000 0.5000
0.5000 0.5000 0.0000
0.5000 0.5000 0.5000
```

Principal peaks in the range 2θ from 5° to 70°, by angle:
Position (°2θ)	I_rel
32.19	42.4
33.10	40.8
37.99	53.2
38.39	100.0
39.17	47.8
39.89	42.9
61.55	24.6
62.11	24.3
67.35	27.3
69.46	24.9

(2)
# SnMo
Theoretical powder XRD pattern, a wavelength of 1.5418 Å. Input: a GGA-PBE-relaxed structure.
Kinematic intensities with the Lorentz-polarization factor, no thermal factor.

Atomic structure:
```
SnMo
1.0
-5.0720 5.0720 1.5688
5.0720 -5.0720 1.5688
5.0720 5.0720 -1.5688
Sn Mo
4 4
direct
0.1358 0.8283 0.9641
0.1717 0.1358 0.3075
0.8283 0.8642 0.6925
0.8642 0.1717 0.0359
0.1487 0.5383 0.6869
0.4617 0.1487 0.6104
0.5383 0.8513 0.3896
0.8513 0.4617 0.3131
```

Principal peaks in the range 2θ from 5° to 70°, by angle:
Position (°2θ)	I_rel
27.81	11.5
29.81	13.7
34.76	15.8
35.39	15.7
37.62	43.1
39.17	100.0
39.74	22.2
53.81	16.3
66.07	12.3
68.93	12.1

(3)
# SnMo
Theoretical powder XRD pattern, a wavelength of 1.5418 Å. Input: a GGA-PBE-relaxed structure.
Kinematic intensities with the Lorentz-polarization factor, no thermal factor.

Atomic structure:
```
SnMo
1.0
3.1607 0.0000 0.0000
0.0000 6.0905 3.3191
0.0000 -6.0905 3.3191
Sn Mo
3 3
direct
0.0000 0.0000 0.0000
0.5000 0.0963 0.5778
0.5000 0.5778 0.0963
0.0000 0.5003 0.7145
0.0000 0.7145 0.5003
0.5000 0.3615 0.3615
```

Principal peaks in the range 2θ from 5° to 70°, by angle:
Position (°2θ)	I_rel
25.72	21.3
29.33	19.7
30.68	34.5
31.90	38.8
32.22	30.9
38.56	25.8
39.37	100.0
40.19	50.3
41.16	30.7
49.17	33.1